LiHfRh2: theoretical PXRD pattern (Cu Kα), based on a structure optimized by DFT (PBE).
Kinematic intensities with the Lorentz-polarization factor, no thermal factor.

Structural model:
```
LiHfRh2
1.0
0.000 3.122 3.122
3.122 0.000 3.122
3.122 3.122 0.000
Li Hf Rh
1 1 2
direct
0.000 0.000 0.000
0.500 0.500 0.500
0.250 0.250 0.250
0.750 0.750 0.750
```

Main lines, in order of rising 2θ (2θ from 10° to 90°):
- 24.70 deg, rel. 47
- 28.59 deg, rel. 1
- 40.88 deg, rel. 100
- 48.35 deg, rel. 24
- 59.19 deg, rel. 17
- 65.12 deg, rel. 10
- 74.44 deg, rel. 34
- 79.82 deg, rel. 7
- 88.61 deg, rel. 11